# Tb2Dy5HoIn
Simulated powder X-ray diffraction pattern, a wavelength of 1.5418 Å. Input: DFT lattice parameters and positions (GGA-PBE).
No peak broadening, texture or thermal motion is included.

Cell and atoms:
```
Tb2Dy5HoIn
1.0
2.6735 -10.0490 0.0000
2.6735 10.0490 0.0000
0.0000 0.0000 10.4824
Tb Dy Ho In
4 10 2 2
Direct
0.1160 0.8840 0.5412
0.1160 0.8840 0.9588
0.8840 0.1160 0.0412
0.8840 0.1160 0.4588
0.0123 0.9877 0.2500
0.2891 0.7109 0.5510
0.2891 0.7109 0.9490
0.3828 0.6172 0.2500
0.5000 0.5000 0.0000
0.5000 0.5000 0.5000
0.6172 0.3828 0.7500
0.7109 0.2891 0.0510
0.7109 0.2891 0.4490
0.9877 0.0123 0.7500
0.2072 0.7928 0.2500
0.7928 0.2072 0.7500
0.4042 0.5958 0.7500
0.5958 0.4042 0.2500
```

Top 12 peaks for 10 to 80 degrees two-theta, by angle:
2theta	Rel. int.
27.29	10.4
27.96	13.5
30.89	30.1
32.69	100.0
33.52	31.9
34.22	15.7
44.20	8.2
48.65	11.7
51.42	8.6
59.40	18.1
59.67	9.2
62.78	9.7